Simulated powder XRD pattern
Compound: Rb2ThF6
Radiation: CuKα
Structure: a DFT-relaxed cell (GGA-PBE, the Materials Project)
Peak positions follow from Bragg's law for the DFT cell and can differ from measured ones.

Crystal structure
```
Rb2ThF6
1.0
6.962 0.000 0.000
-3.481 6.029 0.000
0.000 0.000 3.878
Rb Th F
2 1 6
Direct
0.333 0.667 0.000 Rb
0.667 0.333 0.000 Rb
0.000 0.000 0.500 Th
0.000 0.219 0.000 F
0.000 0.670 0.500 F
0.219 0.000 0.000 F
0.330 0.330 0.500 F
0.670 0.000 0.500 F
0.781 0.781 0.000 F
```

Peak list (10 most intense, 5 to 70 degrees two-theta, low angle first)
2θ (°)  Rel. int.
14.69  719
25.59  940
27.34  1000
37.80  570
45.11  331
46.21  692
52.58  134
54.15  251
60.27  263
67.07  197